Structure and calculated powder XRD pattern of RbSi4Pt4 (a crystal structure in Alexandria, relaxed with GGA-PBE; Cu Kα, 1.54184 Å).
Peak positions follow from Bragg's law for the DFT cell and can differ from measured ones.

Structural model:
```
data_RbSi4Pt4
_chemical_formula_sum 'Rb2 Si8 Pt8'
_cell_length_a 8.5507
_cell_length_b 8.5507
_cell_length_c 4.6183
_cell_angle_alpha 90.00
_cell_angle_beta 90.00
_cell_angle_gamma 90.00
_space_group_name_H-M_alt 'I 4'
_space_group_IT_number 79
_space_group_name_Hall 'I 4'
loop_
_atom_site_label
_atom_site_type_symbol
_atom_site_fract_x
_atom_site_fract_y
_atom_site_fract_z
Rb1 Rb 0.0000 0.0000 0.0000
Si1 Si 0.1118 0.3837 0.4977
Pt1 Pt 0.1667 0.6806 0.4977
```

Top 6 peaks for 10° ≤ 2θ ≤ 80°, low angle first:
20.8 deg, d 4.275, rel. 28
30.3 deg, d 2.945, rel. 100
33.1 deg, d 2.704, rel. 39
39.0 deg, d 2.309, rel. 24
48.1 deg, d 1.892, rel. 49
52.1 deg, d 1.756, rel. 21